1.
Theoretical X-ray diffraction stick pattern of SmSbMo2O9 for copper Kα, from a cell relaxed with GGA+U.
Neutral-atom scattering factors, no anomalous dispersion.

Peak list (12 most intense, 10° ≤ 2θ ≤ 80°, low angle first)
15.5 deg, I 37
18.1 deg, I 29
22.9 deg, I 88
24.1 deg, I 31
24.6 deg, I 78
26.1 deg, I 97
27.1 deg, I 100
27.2 deg, I 69
28.0 deg, I 63
46.5 deg, I 72
47.4 deg, I 42
50.4 deg, I 29

Cell and atoms:
abc: 9.8359 9.8359 10.9995
angles: 111.72 111.72 95.73
Sites, in units of the cell vectors:
Sm  0.1247  0.8753  0.7500
Sm  0.3267  0.6733  0.2500
Sm  0.6733  0.3267  0.7500
Sm  0.8753  0.1247  0.2500
Sb  0.3522  0.3777  0.4622
Sb  0.3777  0.3522  0.9622
Sb  0.6223  0.6478  0.0378
Sb  0.6478  0.6223  0.5378
Mo  0.0482  0.2588  0.0246
Mo  0.0587  0.4355  0.6941
Mo  0.2588  0.0482  0.5246
Mo  0.4355  0.0587  0.1941
Mo  0.5645  0.9413  0.8059
Mo  0.7412  0.9518  0.4754
Mo  0.9413  0.5645  0.3059
Mo  0.9518  0.7412  0.9754
O  0.0179  0.6928  0.4935
O  0.0469  0.2218  0.1723
O  0.0680  0.0973  0.8983
O  0.0908  0.5572  0.2510
O  0.0973  0.0680  0.3983
O  0.1261  0.7039  0.0661
O  0.1403  0.6202  0.7237
O  0.2114  0.3716  0.7994
O  0.2198  0.4054  0.0769
O  0.2218  0.0469  0.6723
O  0.2961  0.8739  0.4339
O  0.3072  0.9821  0.0065
O  0.3716  0.2114  0.2994
O  0.3798  0.8597  0.7763
O  0.4054  0.2198  0.5769
O  0.4237  0.5410  0.4014
O  0.4428  0.9092  0.2490
O  0.4590  0.5763  0.0986
O  0.5410  0.4237  0.9014
O  0.5572  0.0908  0.7510
O  0.5763  0.4590  0.5986
O  0.5946  0.7802  0.4231
O  0.6202  0.1403  0.2237
O  0.6284  0.7886  0.7006
O  0.6928  0.0179  0.9935
O  0.7039  0.1261  0.5661
O  0.7782  0.9531  0.3277
O  0.7802  0.5946  0.9231
O  0.7886  0.6284  0.2006
O  0.8597  0.3798  0.2763
O  0.8739  0.2961  0.9339
O  0.9027  0.9320  0.6017
O  0.9092  0.4428  0.7490
O  0.9320  0.9027  0.1017
O  0.9531  0.7782  0.8277
O  0.9821  0.3072  0.5065


2.
Theoretical X-ray diffraction stick pattern of SnSbMoO6 for copper Kα, from a cell relaxed with GGA+U.
Neutral-atom scattering factors, no anomalous dispersion.

Peak list (12 most intense, 10° ≤ 2θ ≤ 80°, low angle first)
26.0 deg, I 100
32.9 deg, I 82
37.2 deg, I 22
37.9 deg, I 4
50.5 deg, I 69
53.6 deg, I 17
55.8 deg, I 9
60.5 deg, I 15
62.6 deg, I 17
64.3 deg, I 21
69.0 deg, I 8
76.7 deg, I 13

Cell and atoms:
abc: 4.8379 4.8379 9.8833
angles: 90.00 90.00 90.00
Sites, in units of the cell vectors:
Sn  0.0000  0.0000  0.0000
Sn  0.5000  0.5000  0.5000
Sb  0.0000  0.0000  0.3345
Sb  0.5000  0.5000  0.8345
Mo  0.0000  0.0000  0.6663
Mo  0.5000  0.5000  0.1663
O  0.1895  0.1895  0.8326
O  0.1936  0.1936  0.5060
O  0.2001  0.2001  0.1641
O  0.2999  0.7001  0.6641
O  0.3064  0.6936  0.0060
O  0.3105  0.6895  0.3326
O  0.6895  0.3105  0.3326
O  0.6936  0.3064  0.0060
O  0.7001  0.2999  0.6641
O  0.7999  0.7999  0.1641
O  0.8064  0.8064  0.5060
O  0.8105  0.8105  0.8326


3.
Theoretical X-ray diffraction stick pattern of TbSbMo2O9 for copper Kα, from a cell relaxed with GGA+U.
Neutral-atom scattering factors, no anomalous dispersion.

Peak list (12 most intense, 10° ≤ 2θ ≤ 80°, low angle first)
15.7 deg, I 42
18.3 deg, I 30
23.2 deg, I 84
24.9 deg, I 75
26.3 deg, I 99
27.3 deg, I 100
27.5 deg, I 71
28.3 deg, I 63
32.1 deg, I 29
47.0 deg, I 72
48.0 deg, I 39
51.0 deg, I 29

Cell and atoms:
abc: 9.7350 9.7350 10.8978
angles: 111.85 111.85 95.44
Sites, in units of the cell vectors:
Tb  0.1253  0.8747  0.7500
Tb  0.3282  0.6718  0.2500
Tb  0.6718  0.3282  0.7500
Tb  0.8747  0.1253  0.2500
Sb  0.3499  0.3792  0.4634
Sb  0.3792  0.3499  0.9634
Sb  0.6208  0.6501  0.0366
Sb  0.6501  0.6208  0.5366
Mo  0.0469  0.2591  0.0244
Mo  0.0573  0.4348  0.6930
Mo  0.2591  0.0469  0.5244
Mo  0.4348  0.0573  0.1930
Mo  0.5652  0.9427  0.8070
Mo  0.7409  0.9531  0.4756
Mo  0.9427  0.5652  0.3070
Mo  0.9531  0.7409  0.9756
O  0.0208  0.6939  0.4971
O  0.0430  0.2195  0.1717
O  0.0689  0.0969  0.8972
O  0.0937  0.5561  0.2515
O  0.0969  0.0689  0.3972
O  0.1289  0.7028  0.0688
O  0.1424  0.6214  0.7254
O  0.2093  0.3669  0.7977
O  0.2195  0.0430  0.6717
O  0.2212  0.4062  0.0787
O  0.2972  0.8711  0.4312
O  0.3061  0.9792  0.0029
O  0.3669  0.2093  0.2977
O  0.3786  0.8576  0.7746
O  0.4062  0.2212  0.5787
O  0.4231  0.5415  0.4003
O  0.4439  0.9063  0.2485
O  0.4585  0.5769  0.0997
O  0.5415  0.4231  0.9003
O  0.5561  0.0937  0.7515
O  0.5769  0.4585  0.5997
O  0.5938  0.7788  0.4213
O  0.6214  0.1424  0.2254
O  0.6331  0.7907  0.7023
O  0.6939  0.0208  0.9971
O  0.7028  0.1289  0.5688
O  0.7788  0.5938  0.9213
O  0.7805  0.9570  0.3283
O  0.7907  0.6331  0.2023
O  0.8576  0.3786  0.2746
O  0.8711  0.2972  0.9312
O  0.9031  0.9311  0.6028
O  0.9063  0.4439  0.7485
O  0.9311  0.9031  0.1028
O  0.9570  0.7805  0.8283
O  0.9792  0.3061  0.5029


4.
Theoretical X-ray diffraction stick pattern of TcSbMo2O for copper Kα, from a cell relaxed with GGA+U.
Neutral-atom scattering factors, no anomalous dispersion.

Peak list (11 most intense, 10° ≤ 2θ ≤ 80°, low angle first)
21.5 deg, I 2
30.6 deg, I 1
35.9 deg, I 100
37.2 deg, I 26
43.8 deg, I 33
58.7 deg, I 27
63.6 deg, I 10
66.2 deg, I 16
75.2 deg, I 23
76.0 deg, I 12
79.2 deg, I 3

Cell and atoms:
abc: 4.1377 4.1377 4.8367
angles: 90.00 90.00 90.00
Sites, in units of the cell vectors:
Tc  0.0000  0.0000  0.0000
Sb  0.5000  0.5000  0.0000
Mo  0.0000  0.5000  0.5000
Mo  0.5000  0.0000  0.5000
O  0.5000  0.5000  0.5000


5.
Theoretical X-ray diffraction stick pattern of Tl2SbMoO8 for copper Kα, from a cell relaxed with GGA+U.
Neutral-atom scattering factors, no anomalous dispersion.

Peak list (12 most intense, 10° ≤ 2θ ≤ 80°, low angle first)
17.8 deg, I 16
24.8 deg, I 65
25.7 deg, I 55
32.7 deg, I 100
36.0 deg, I 32
48.9 deg, I 44
49.9 deg, I 36
52.8 deg, I 10
59.2 deg, I 11
62.6 deg, I 23
68.5 deg, I 11
73.1 deg, I 10

Cell and atoms:
abc: 4.9940 4.9940 6.5525
angles: 90.00 90.00 92.13
Sites, in units of the cell vectors:
Tl  0.0000  0.0000  0.2496
Tl  0.0000  0.0000  0.7504
Sb  0.5000  0.5000  0.0000
Mo  0.5000  0.5000  0.5000
O  0.2139  0.2139  0.0000
O  0.2213  0.2213  0.5000
O  0.3252  0.6748  0.2498
O  0.3252  0.6748  0.7502
O  0.6748  0.3252  0.2498
O  0.6748  0.3252  0.7502
O  0.7787  0.7787  0.5000
O  0.7861  0.7861  0.0000


6.
Theoretical X-ray diffraction stick pattern of TmSbMo2O9 for copper Kα, from a cell relaxed with GGA+U.
Neutral-atom scattering factors, no anomalous dispersion.

Peak list (12 most intense, 10° ≤ 2θ ≤ 80°, low angle first)
15.9 deg, I 48
18.5 deg, I 32
23.4 deg, I 78
25.2 deg, I 69
26.6 deg, I 100
27.5 deg, I 97
27.8 deg, I 71
28.6 deg, I 62
47.4 deg, I 34
47.6 deg, I 26
48.6 deg, I 34
51.6 deg, I 27

Cell and atoms:
abc: 9.6373 9.6373 10.7814
angles: 111.98 111.98 95.20
Sites, in units of the cell vectors:
Tm  0.1261  0.8739  0.7500
Tm  0.3295  0.6705  0.2500
Tm  0.6705  0.3295  0.7500
Tm  0.8739  0.1261  0.2500
Sb  0.3478  0.3807  0.4648
Sb  0.3807  0.3478  0.9648
Sb  0.6193  0.6522  0.0352
Sb  0.6522  0.6193  0.5352
Mo  0.0454  0.2592  0.0241
Mo  0.0568  0.4345  0.6920
Mo  0.2592  0.0454  0.5241
Mo  0.4345  0.0568  0.1920
Mo  0.5655  0.9432  0.8080
Mo  0.7408  0.9546  0.4759
Mo  0.9432  0.5655  0.3080
Mo  0.9546  0.7408  0.9759
O  0.0227  0.6933  0.5013
O  0.0387  0.2171  0.1711
O  0.0705  0.0965  0.8964
O  0.0965  0.0705  0.3964
O  0.0958  0.5552  0.2519
O  0.1320  0.7025  0.0720
O  0.1461  0.6234  0.7292
O  0.2075  0.3613  0.7952
O  0.2171  0.0387  0.6711
O  0.2222  0.4075  0.0803
O  0.2975  0.8680  0.4280
O  0.3067  0.9773  0.9987
O  0.3613  0.2075  0.2952
O  0.3766  0.8539  0.7708
O  0.4075  0.2222  0.5803
O  0.4223  0.5423  0.3992
O  0.4448  0.9042  0.2481
O  0.4577  0.5777  0.1008
O  0.5423  0.4223  0.8992
O  0.5552  0.0958  0.7519
O  0.5777  0.4577  0.6008
O  0.5925  0.7778  0.4197
O  0.6234  0.1461  0.2292
O  0.6387  0.7925  0.7048
O  0.6933  0.0227  0.0013
O  0.7025  0.1320  0.5720
O  0.7778  0.5925  0.9197
O  0.7829  0.9613  0.3289
O  0.7925  0.6387  0.2048
O  0.8539  0.3766  0.2708
O  0.8680  0.2975  0.9280
O  0.9042  0.4448  0.7481
O  0.9035  0.9295  0.6036
O  0.9295  0.9035  0.1036
O  0.9613  0.7829  0.8289
O  0.9773  0.3067  0.4987


7.
Theoretical X-ray diffraction stick pattern of ScMo3O8 for copper Kα, from a cell relaxed with GGA+U.
Neutral-atom scattering factors, no anomalous dispersion.

Peak list (12 most intense, 10° ≤ 2θ ≤ 80°, low angle first)
19.5 deg, I 100
25.3 deg, I 16
25.6 deg, I 30
25.9 deg, I 30
33.1 deg, I 28
33.7 deg, I 51
35.4 deg, I 19
39.0 deg, I 29
39.1 deg, I 58
52.5 deg, I 16
53.2 deg, I 28
59.5 deg, I 25

Cell and atoms:
abc: 4.5508 6.0981 6.2126
angles: 60.63 88.63 89.74
Sites, in units of the cell vectors:
Sc  0.0000  0.0000  0.0000
Mo  0.4722  0.0070  0.4705
Mo  0.4858  0.5151  0.9770
Mo  0.5072  0.4888  0.4892
O  0.2526  0.8254  0.3278
O  0.2550  0.3561  0.3166
O  0.2579  0.3483  0.8114
O  0.2597  0.8480  0.8093
O  0.7109  0.6724  0.6342
O  0.7190  0.1813  0.1497
O  0.7203  0.6713  0.1505
O  0.7280  0.1914  0.6302


8.
Theoretical X-ray diffraction stick pattern of ScMo3O9 for copper Kα, from a cell relaxed with GGA+U.
Neutral-atom scattering factors, no anomalous dispersion.

Peak list (12 most intense, 10° ≤ 2θ ≤ 80°, low angle first)
19.4 deg, I 73
20.0 deg, I 28
20.5 deg, I 22
22.3 deg, I 100
23.6 deg, I 18
24.7 deg, I 44
25.7 deg, I 12
27.8 deg, I 16
31.1 deg, I 30
34.3 deg, I 25
51.0 deg, I 12
56.0 deg, I 15

Cell and atoms:
abc: 8.4895 8.4895 10.9877
angles: 121.91 121.91 52.72
Sites, in units of the cell vectors:
Sc  0.2406  0.7594  0.5000
Sc  0.7594  0.2406  0.0000
Mo  0.0358  0.2254  0.8194
Mo  0.2254  0.0358  0.3194
Mo  0.2926  0.4491  0.6775
Mo  0.4491  0.2926  0.1775
Mo  0.7127  0.7748  0.2370
Mo  0.7748  0.7127  0.7370
O  0.0107  0.5733  0.6702
O  0.0546  0.1510  0.1699
O  0.1399  0.9248  0.3601
O  0.1510  0.0546  0.6699
O  0.2094  0.3427  0.0049
O  0.3106  0.6307  0.6514
O  0.3427  0.2094  0.5049
O  0.3504  0.4702  0.3370
O  0.4702  0.3504  0.8370
O  0.4931  0.8371  0.2872
O  0.5342  0.7466  0.5837
O  0.5733  0.0107  0.1702
O  0.6307  0.3106  0.1514
O  0.7466  0.5342  0.0837
O  0.7855  0.9364  0.8992
O  0.8371  0.4931  0.7872
O  0.9248  0.1399  0.8601
O  0.9364  0.7855  0.3992